MgTe4Mo4Se2S2: theoretical powder diffractogram (copper Kα), based on a crystal structure in the Materials Project, relaxed with PBE.
No peak broadening, texture or thermal motion is included.

Lattice parameters (Å, degrees): 5.8874 3.3994 45.1368 90.00 90.04 90.00
Space group Cm (No. 8)
One atom of each set of equivalent atoms:
Mg1 0.0000 0.0000 0.0000
Te1 0.3340 0.0000 0.0682
Te2 0.3342 0.0000 0.1516
Te3 0.3343 0.0000 0.6864
Te4 0.3345 0.0000 0.7694
Mo1 0.1674 0.5000 0.1101
Mo2 0.1677 0.5000 0.7279
Mo3 0.3343 0.0000 0.5399
Mo4 0.3345 0.0000 0.9082
Se1 0.1675 0.5000 0.5034
Se2 0.1678 0.5000 0.5764
S1 0.1675 0.5000 0.8752
S2 0.1682 0.5000 0.9418

Most intense lines, 2θ = 10–80°, sorted by position:
| 2theta | d_spacing | Rel. int. | hkl |
| --- | --- | --- | --- |
| 11.8 | 7.523 | 29 | 0 0 6 |
| 30.4 | 2.943 | 60 | 2 0 0 |
| 32.0 | 2.799 | 23 | 1 1 -5 |
| 34.4 | 2.610 | 70 | 2 0 8 |
| 36.4 | 2.466 | 21 | 1 1 -10 |
| 37.6 | 2.392 | 25 | 1 1 11 |
| 40.2 | 2.245 | 100 | 1 1 13 |
| 41.5 | 2.174 | 20 | 2 0 14 |
| 54.0 | 1.699 | 40 | 3 1 0 |
| 69.3 | 1.355 | 19 | 4 0 13 |